Diffraction record for TlAg. The PXRD pattern is calculated, not measured: it uses the PBE geometry in Alexandria and Cu Ka.
Kinematic intensities with the Lorentz-polarization factor, no thermal factor.

The 12 most intense peaks (5° ≤ 2θ ≤ 70°), in order of rising 2θ:
hkl  2θ/deg  intensity
0 3 1  24.63  19.8
0 2 2  30.07  66.0
1 2 1  32.66  49.0
1 3 0  33.65  100.0
0 5 1  37.42  47.8
1 1 2  38.38  72.8
0 4 2  38.80  22.1
1 5 2  52.27  30.6
2 0 0  53.98  18.1
2 2 2  63.04  16.4
1 8 1  65.71  22.5
2 5 1  67.52  16.8

Structural model:
Unit cell a=3.3972 b=12.8748 c=6.6998 alpha=90.00 beta=90.00 gamma=90.00
Space group Imm2 (No. 44)
Inequivalent atoms, fractional coordinates:
Tl (0.0000, 0.0000, 0.0000) x2
Tl (0.0000, 0.3065, 0.2383) x4
Ag (0.0000, 0.0000, 0.5647) x2
Ag (0.0000, 0.3835, 0.7999) x4